This entry pairs a crystal structure of Li8FeO5F with its theoretical PXRD pattern. Radiation: Cu Kα (weighted mean of Kα1 and Kα2). Structure: the PBE+U geometry in Alexandria.
Peak positions follow from Bragg's law for the DFT cell and can differ from measured ones.

Top 12 peaks for 2θ from 10° to 90°, in order of falling intensity:
- 24.47 deg, I 100, (1 0 2)
- 18.24 deg, I 77, (1 0 0)
- 31.86 deg, I 46, (1 1 0)
- 56.78 deg, I 38, (3 0 0)
- 32.92 deg, I 36, (1 1 1)
- 32.70 deg, I 35, (0 0 4)
- 16.18 deg, I 29, (0 0 2)
- 40.58 deg, I 29, (2 0 2)
- 46.30 deg, I 26, (1 1 4)
- 52.50 deg, I 22, (2 1 2)
- 37.69 deg, I 21, (1 0 4)
- 67.08 deg, I 17, (3 0 4)

Atomic structure:
Unit cell a=5.6169 b=5.6169 c=10.9547 alpha=90.00 beta=90.00 gamma=120.00
Space group P6_3 (No. 173)
Asymmetric unit:
Li: 0.0158 0.6239 0.0000
Li: 0.0284 0.3136 0.1529
Li: 0.3333 0.6667 0.2951
Li: 0.3333 0.6667 0.8077
Fe: 0.0000 0.0000 0.3716
O: 0.0000 0.0000 0.0523
O: 0.0015 0.6770 0.8269
O: 0.3333 0.6667 0.0909
F: 0.3333 0.6667 0.5830